# 1
# BaCuBrF2
Simulated X-ray powder pattern, λ = 1.5418 Å (Cu Kα). Input: a PBE-relaxed structure.
Kinematic intensities with the Lorentz-polarization factor, no thermal factor.

Atomic structure:
abc: 6.649 6.649 6.649
angles: 117.56 117.56 94.28
Atoms (fractional coordinates):
Ba 0.250 0.750 0.500
Ba 0.750 0.250 0.500
Cu 0.000 0.000 0.000
Cu 0.500 0.500 0.000
Br 0.250 0.250 0.000
Br 0.750 0.750 0.000
F 0.152 0.652 0.804
F 0.348 0.152 0.500
F 0.652 0.848 0.500
F 0.848 0.348 0.196

Top 8 peaks for 10 to 80 degrees two-theta, by angle:
d (Å)  2θ/deg  I/Imax
3.446  25.85  1000
3.315  26.89  272
2.741  32.67  370
2.437  36.89  442
2.261  39.87  222
1.891  48.13  361
1.658  55.43  263
1.274  74.51  222

# 2
# BaCu2HgBr8
Simulated X-ray powder pattern, λ = 1.5418 Å (Cu Kα). Input: a PBE-relaxed structure.
Kinematic intensities with the Lorentz-polarization factor, no thermal factor.

Atomic structure:
abc: 7.714 7.714 8.848
angles: 90.00 90.00 120.00
Atoms (fractional coordinates):
Ba 0.000 0.000 0.000
Cu 0.333 0.667 0.206
Cu 0.667 0.333 0.794
Hg 0.000 0.000 0.500
Br 0.161 0.322 0.289
Br 0.161 0.839 0.289
Br 0.322 0.161 0.711
Br 0.333 0.667 0.944
Br 0.667 0.333 0.056
Br 0.678 0.839 0.289
Br 0.839 0.161 0.711
Br 0.839 0.678 0.711

Top 8 peaks for 10 to 80 degrees two-theta, by angle:
d (Å)  2θ/deg  I/Imax
6.681  13.25  868
5.332  16.63  1000
3.857  23.06  703
3.688  24.13  361
3.125  28.56  488
2.907  30.75  713
2.666  33.62  791
1.929  47.12  580

# 3
# BaLi2CuBr
Simulated X-ray powder pattern, λ = 1.5418 Å (Cu Kα). Input: a PBE-relaxed structure.
Kinematic intensities with the Lorentz-polarization factor, no thermal factor.

Atomic structure:
abc: 6.886 6.886 5.957
angles: 90.00 90.00 90.00
Atoms (fractional coordinates):
Ba 0.000 0.000 0.000
Li 0.000 0.500 0.000
Li 0.500 0.000 0.000
Cu 0.500 0.500 0.500
Br 0.000 0.000 0.500

Top 8 peaks for 10 to 80 degrees two-theta, by angle:
d (Å)  2θ/deg  I/Imax
6.886  12.86  624
4.869  18.22  1000
4.505  19.70  310
3.443  25.88  501
2.735  32.74  308
2.541  35.32  380
2.253  40.02  308
1.758  52.02  244

# 4
# BaNpCu2Br8
Simulated X-ray powder pattern, λ = 1.5418 Å (Cu Kα). Input: a PBE-relaxed structure.
Kinematic intensities with the Lorentz-polarization factor, no thermal factor.

Atomic structure:
abc: 6.741 6.741 9.598
angles: 90.82 90.82 72.45
Atoms (fractional coordinates):
Ba 0.000 0.000 0.000
Np 0.000 0.000 0.500
Cu 0.337 0.337 0.734
Cu 0.663 0.663 0.266
Br 0.238 0.751 0.714
Br 0.249 0.762 0.286
Br 0.256 0.256 0.504
Br 0.296 0.296 0.972
Br 0.704 0.704 0.028
Br 0.744 0.744 0.496
Br 0.751 0.238 0.714
Br 0.762 0.249 0.286

Top 8 peaks for 10 to 80 degrees two-theta, by angle:
d (Å)  2θ/deg  I/Imax
6.427  13.78  485
5.366  16.52  431
3.826  23.25  370
3.299  27.03  731
3.065  29.14  1000
2.718  32.95  349
2.045  44.29  443
2.023  44.81  390

# 5
# Ba2Cu2Te4Br2O11
Simulated X-ray powder pattern, λ = 1.5418 Å (Cu Kα). Input: a PBE-relaxed structure.
Kinematic intensities with the Lorentz-polarization factor, no thermal factor.

Atomic structure:
abc: 9.388 9.394 9.734
angles: 99.49 99.67 108.23
Atoms (fractional coordinates):
Ba 0.231 0.482 0.431
Ba 0.265 0.018 0.570
Ba 0.735 0.982 0.430
Ba 0.769 0.518 0.569
Cu 0.050 0.299 0.698
Cu 0.451 0.201 0.304
Cu 0.549 0.799 0.696
Cu 0.950 0.701 0.302
Te 0.043 0.068 0.216
Te 0.203 0.696 0.797
Te 0.312 0.794 0.211
Te 0.445 0.461 0.806
Te 0.555 0.539 0.194
Te 0.688 0.206 0.789
Te 0.797 0.304 0.203
Te 0.957 0.932 0.784
Br 0.099 0.347 0.052
Br 0.318 0.071 0.953
Br 0.682 0.929 0.047
Br 0.901 0.653 0.948
O 0.009 0.076 0.665
O 0.039 0.798 0.675
O 0.073 0.506 0.665
O 0.172 0.738 0.330
O 0.245 0.178 0.339
O 0.260 0.322 0.675
O 0.326 0.761 0.665
O 0.347 0.602 0.891
O 0.427 0.992 0.331
O 0.447 0.706 0.305
O 0.486 0.423 0.329
O 0.514 0.577 0.671
O 0.553 0.294 0.695
O 0.573 0.008 0.669
O 0.653 0.398 0.109
O 0.674 0.239 0.335
O 0.740 0.678 0.325
O 0.755 0.822 0.661
O 0.828 0.262 0.670
O 0.927 0.494 0.335
O 0.961 0.202 0.325
O 0.991 0.924 0.335

Top 8 peaks for 10 to 80 degrees two-theta, by angle:
d (Å)  2θ/deg  I/Imax
4.667  19.02  100
3.088  28.91  1000
2.948  30.31  237
2.863  31.25  194
2.796  32.01  103
2.752  32.53  199
1.646  55.84  106
1.620  56.82  110

# 6
# BaBr2F8
Simulated X-ray powder pattern, λ = 1.5418 Å (Cu Kα). Input: a PBE-relaxed structure.
Kinematic intensities with the Lorentz-polarization factor, no thermal factor.

Atomic structure:
abc: 8.112 8.112 8.112
angles: 104.60 104.60 119.72
Atoms (fractional coordinates):
Ba 0.000 0.000 0.000
Ba 0.750 0.250 0.500
Br 0.206 0.140 0.614
Br 0.407 0.794 0.934
Br 0.526 0.593 0.386
Br 0.860 0.474 0.066
F 0.026 0.192 0.703
F 0.115 0.190 0.397
F 0.152 0.617 0.701
F 0.263 0.448 0.164
F 0.282 0.885 0.075
F 0.283 0.099 0.836
F 0.383 0.083 0.534
F 0.489 0.323 0.297
F 0.549 0.848 0.466
F 0.552 0.717 0.815
F 0.677 0.974 0.167
F 0.794 0.718 0.603
F 0.808 0.511 0.833
F 0.810 0.206 0.925
F 0.901 0.737 0.185
F 0.917 0.451 0.299

Top 8 peaks for 10 to 80 degrees two-theta, by angle:
d (Å)  2θ/deg  I/Imax
3.896  22.82  1000
3.522  25.29  533
3.508  25.39  217
3.064  29.14  184
2.619  34.24  202
2.485  36.15  426
1.947  46.66  185
1.933  47.02  189